# 1
Zr6Zn5Tc: theoretical XRD peak list (Cu Kα (weighted mean of Kα1 and Kα2)), based on the GGA-PBE geometry in Alexandria.
Lines closer than 0.1° are merged.

The 10 most intense peaks (10 to 90 degrees two-theta), most intense first:
2θ (°)  I/Imax
38.1  100
38.3  20
68.9  20
55.1  13
69.1  13
81.6  10
54.9  7
68.9  6
81.9  2
26.7  2

Structure:
a = 7.439 Å, b = 7.439 Å, c = 6.684 Å
α = 90.00°, β = 90.00°, γ = 142.98°
Element x y z (fractional)
1 Zr 0.000 0.000 0.248
2 Zr 0.000 0.000 0.752
3 Zr 0.336 0.664 0.247
4 Zr 0.336 0.664 0.753
5 Zr 0.664 0.336 0.247
6 Zr 0.664 0.336 0.753
7 Zn 0.166 0.834 0.000
8 Zn 0.170 0.830 0.500
9 Zn 0.500 0.500 0.500
10 Zn 0.830 0.170 0.500
11 Zn 0.834 0.166 0.000
12 Tc 0.500 0.500 0.000

# 2
Zr5Tc: theoretical XRD peak list (Cu Kα (weighted mean of Kα1 and Kα2)), based on the GGA-PBE geometry in Alexandria.
Lines closer than 0.1° are merged.

The 12 most intense peaks (10 to 90 degrees two-theta), most intense first:
2θ (°)  I/Imax
35.5  100
36.2  99
37.4  94
67.1  30
63.5  27
65.7  27
55.0  16
49.3  15
52.7  14
79.7  8
76.9  8
75.1  7

Structure:
a = 11.050 Å, b = 3.341 Å, c = 7.392 Å
α = 90.00°, β = 109.51°, γ = 90.00°
Element x y z (fractional)
1 Zr 0.000 0.000 0.000
2 Zr 0.145 0.500 0.356
3 Zr 0.167 0.500 0.810
4 Zr 0.333 0.000 0.190
5 Zr 0.355 0.000 0.644
6 Zr 0.500 0.500 0.000
7 Zr 0.645 0.000 0.356
8 Zr 0.667 0.000 0.810
9 Zr 0.833 0.500 0.190
10 Zr 0.855 0.500 0.644
11 Tc 0.000 0.000 0.500
12 Tc 0.500 0.500 0.500

# 3
ZrTc3: theoretical XRD peak list (Cu Kα (weighted mean of Kα1 and Kα2)), based on the GGA-PBE geometry in Alexandria.
Lines closer than 0.1° are merged.

The 12 most intense peaks (10 to 90 degrees two-theta), most intense first:
2θ (°)  I/Imax
39.9  100
39.7  24
40.9  24
73.7  16
58.3  15
72.2  14
86.0  10
57.0  9
72.5  8
71.7  8
88.6  3
85.6  2

Structure:
a = 6.462 Å, b = 9.080 Å, c = 4.416 Å
α = 90.00°, β = 90.00°, γ = 90.00°
Element x y z (fractional)
1 Zr 0.000 0.131 0.250
2 Zr 0.000 0.869 0.750
3 Zr 0.500 0.369 0.750
4 Zr 0.500 0.631 0.250
5 Tc 0.000 0.396 0.750
6 Tc 0.000 0.604 0.250
7 Tc 0.248 0.374 0.250
8 Tc 0.248 0.626 0.750
9 Tc 0.252 0.126 0.750
10 Tc 0.252 0.874 0.250
11 Tc 0.500 0.104 0.250
12 Tc 0.500 0.896 0.750
13 Tc 0.748 0.126 0.750
14 Tc 0.748 0.874 0.250
15 Tc 0.752 0.374 0.250
16 Tc 0.752 0.626 0.750

# 4
Th7Te12: theoretical XRD peak list (Cu Kα (weighted mean of Kα1 and Kα2)), based on the GGA-PBE geometry in Alexandria.
Lines closer than 0.1° are merged.

The 12 most intense peaks (10 to 90 degrees two-theta), most intense first:
2θ (°)  I/Imax
29.9  100
37.8  56
32.1  53
21.6  41
35.2  34
36.2  34
57.4  34
56.9  30
41.5  30
68.5  21
26.2  18
44.0  15

Structure:
a = 12.582 Å, b = 12.582 Å, c = 4.353 Å
α = 90.00°, β = 90.00°, γ = 120.00°
Element x y z (fractional)
1 Th 0.000 0.000 0.000
2 Th 0.164 0.452 0.500
3 Th 0.288 0.836 0.500
4 Th 0.438 0.278 0.000
5 Th 0.548 0.712 0.500
6 Th 0.722 0.160 0.000
7 Th 0.840 0.562 0.000
8 Te 0.008 0.255 0.000
9 Te 0.133 0.625 0.000
10 Te 0.217 0.214 0.500
11 Te 0.247 0.992 0.000
12 Te 0.375 0.508 0.000
13 Te 0.492 0.867 0.000
14 Te 0.522 0.137 0.500
15 Te 0.615 0.478 0.500
16 Te 0.745 0.753 0.000
17 Te 0.786 0.003 0.500
18 Te 0.863 0.385 0.500
19 Te 0.997 0.783 0.500